Entry 1:
This entry pairs a crystal structure of La3AlCu3 with its computed powder diffraction line list. Radiation: a wavelength of 1.5418 Å. Structure: a DFT-relaxed cell (GGA-PBE, Alexandria).

Largest 8 diffraction maxima, by intensity, 2θ from 10° to 90°:
| Position (°2θ) | I_rel |
| --- | --- |
| 37.9 | 100 |
| 38.7 | 92 |
| 29.3 | 84 |
| 34.0 | 83 |
| 32.4 | 72 |
| 41.6 | 57 |
| 58.1 | 54 |
| 25.5 | 53 |

Structure:
```
La3AlCu3
1.0
2.1687 -5.3760 0.0000
2.1687 5.3760 0.0000
0.0000 0.0000 13.9746
La Al Cu
6 2 6
Cartesian
2.1687 5.3118 10.4810 La
2.1687 2.2638 8.4134 La
2.1687 2.2638 12.5485 La
2.1687 -2.2638 1.4261 La
2.1687 -2.2638 5.5612 La
2.1687 -5.3118 3.4937 La
0.0000 0.0000 0.0000 Al
0.0000 0.0000 6.9873 Al
2.1687 2.1923 3.4937 Cu
2.1687 0.7819 1.2497 Cu
2.1687 0.7819 5.7376 Cu
2.1687 -0.7819 8.2370 Cu
2.1687 -0.7819 12.7249 Cu
2.1687 -2.1923 10.4810 Cu
```

***

Entry 2:
This entry pairs a crystal structure of La4AlCu3 with its computed powder diffraction line list. Radiation: a wavelength of 1.5418 Å. Structure: a DFT-relaxed cell (GGA-PBE, Alexandria).

Largest 8 diffraction maxima, by intensity, 2θ from 10° to 90°:
| Position (°2θ) | I_rel |
| --- | --- |
| 31.3 | 100 |
| 32.6 | 59 |
| 24.8 | 44 |
| 38.3 | 38 |
| 36.4 | 32 |
| 52.2 | 31 |
| 39.6 | 29 |
| 50.8 | 23 |

Structure:
```
La4AlCu3
1.0
3.8549 0.0000 0.0000
0.0000 4.5516 0.0000
0.0000 0.0000 11.7399
La Al Cu
4 1 3
Cartesian
0.0000 0.0000 0.0000 La
0.0000 2.2758 3.2539 La
1.9275 0.0000 5.6687 La
1.9275 2.2758 9.2941 La
0.0000 0.0000 8.2015 Al
0.0000 2.2758 6.7758 Cu
1.9275 0.0000 2.3378 Cu
1.9275 2.2758 0.9107 Cu
```

***

Repeat the first record exactly.
This entry pairs a crystal structure of La3AlCu3 with its computed powder diffraction line list. Radiation: a wavelength of 1.5418 Å. Structure: a DFT-relaxed cell (GGA-PBE, Alexandria).

Largest 8 diffraction maxima, by intensity, 2θ from 10° to 90°:
| Position (°2θ) | I_rel |
| --- | --- |
| 37.9 | 100 |
| 38.7 | 92 |
| 29.3 | 84 |
| 34.0 | 83 |
| 32.4 | 72 |
| 41.6 | 57 |
| 58.1 | 54 |
| 25.5 | 53 |

Structure:
```
La3AlCu3
1.0
2.1687 -5.3760 0.0000
2.1687 5.3760 0.0000
0.0000 0.0000 13.9746
La Al Cu
6 2 6
Cartesian
2.1687 5.3118 10.4810 La
2.1687 2.2638 8.4134 La
2.1687 2.2638 12.5485 La
2.1687 -2.2638 1.4261 La
2.1687 -2.2638 5.5612 La
2.1687 -5.3118 3.4937 La
0.0000 0.0000 0.0000 Al
0.0000 0.0000 6.9873 Al
2.1687 2.1923 3.4937 Cu
2.1687 0.7819 1.2497 Cu
2.1687 0.7819 5.7376 Cu
2.1687 -0.7819 8.2370 Cu
2.1687 -0.7819 12.7249 Cu
2.1687 -2.1923 10.4810 Cu
```